Structure and computed powder diffractogram of LiCrCu3 (the PBE geometry in Alexandria; a wavelength of 1.5418 Å).
No peak broadening, texture or thermal motion is included.

The 7 most intense peaks (2θ from 10° to 90°), by angle:
2θ 22.4, d = 3.972 Å, I = 2, hkl 1 0 0
2θ 39.3, d = 2.293 Å, I = 100, hkl 1 1 1
2θ 45.7, d = 1.986 Å, I = 51, hkl 2 0 0
2θ 51.4, d = 1.777 Å, I = 1, hkl 2 1 0
2θ 66.6, d = 1.404 Å, I = 30, hkl 2 2 0
2θ 80.1, d = 1.198 Å, I = 31, hkl 3 1 1
2θ 84.5, d = 1.147 Å, I = 10, hkl 2 2 2

Crystal structure
```
data_LiCrCu3
_symmetry_space_group_name_H-M 'P m -3 m'
_symmetry_Int_Tables_number 221
_symmetry_space_group_name_Hall '-P 4 2 3'
_cell_length_a 3.972
_cell_length_b 3.972
_cell_length_c 3.972
_cell_angle_alpha 90.00
_cell_angle_beta 90.00
_cell_angle_gamma 90.00
loop_
_atom_site_label
_atom_site_fract_x
_atom_site_fract_y
_atom_site_fract_z
_atom_site_occupancy
Li1 0.000 0.000 0.000 1
Cr1 0.500 0.500 0.500 1
Cu1 0.000 0.000 0.500 1
```